Starting from DFT lattice parameters and positions (PBE), the powder XRD pattern of Ac2Zn4Ni3Rh was computed for Cu Kα (λ = 1.5418 Å).
No peak broadening, texture or thermal motion is included.

Largest 10 diffraction maxima, by angle, 10 to 90 degrees two-theta:
hkl 1 0 1, d 3.987, 2θ = 22.30°, I = 304
hkl 1 1 0, d 3.075, 2θ = 29.04°, I = 214
hkl 1 0 3, d 2.643, 2θ = 33.92°, I = 701
hkl 1 1 2, d 2.618, 2θ = 34.25°, I = 1000
hkl 2 0 0, d 2.174, 2θ = 41.54°, I = 544
hkl 1 0 5, d 1.814, 2θ = 50.29°, I = 233
hkl 2 1 3, d 1.679, 2θ = 54.67°, I = 361
hkl 2 2 0, d 1.537, 2θ = 60.19°, I = 178
hkl 2 1 5, d 1.393, 2θ = 67.20°, I = 192
hkl 3 1 2, d 1.326, 2θ = 71.12°, I = 237

Cell and atoms:
Cell: 4.348 4.348 9.983 Å, 90.00 90.00 90.00°
Space group P-4m2 (No. 115)
Unique sites:
Ac (0.000, 0.500, 0.240) x2
Zn (0.000, 0.000, 0.500) x1
Zn (0.000, 0.500, 0.872) x2
Zn (0.500, 0.500, 0.500) x1
Ni (0.000, 0.000, 0.000) x1
Ni (0.000, 0.500, 0.624) x2
Rh (0.500, 0.500, 0.000) x1